Li6Ni3SbP6O24: computed X-ray diffraction stick pattern (Cu Kα (weighted mean of Kα1 and Kα2)), based on DFT lattice parameters and positions (GGA+U).

Structural model:
```
data_Li6Ni3SbP6O24
_chemical_formula_sum 'Li6 Ni3 Sb1 P6 O24'
_symmetry_space_group_name_H-M 'P 1'
_symmetry_Int_Tables_number 1
_cell_length_a 8.438
_cell_length_b 8.458
_cell_length_c 9.017
_cell_angle_alpha 62.51
_cell_angle_beta 62.71
_cell_angle_gamma 60.17
loop_
_symmetry_equiv_pos_as_xyz
'x,y,z'
loop_
_atom_site_label
_atom_site_type_symbol
_atom_site_fract_x
_atom_site_fract_y
_atom_site_fract_z
Li1 Li 0.000 0.000 0.000
Li2 Li 0.053 0.807 0.707
Li3 Li 0.325 0.654 0.963
Li4 Li 0.428 0.065 0.708
Li5 Li 0.700 0.431 0.697
Li6 Li 0.883 0.277 0.221
Ni1 Ni 0.196 0.574 0.295
Ni2 Ni 0.691 0.072 0.806
Ni3 Ni 0.999 0.382 0.883
Sb1 Sb 0.491 0.865 0.404
P1 P 0.100 0.176 0.598
P2 P 0.299 0.977 0.090
P3 P 0.381 0.478 0.596
P4 P 0.596 0.267 0.093
P5 P 0.807 0.760 0.591
P6 P 0.893 0.678 0.094
O1 O 0.091 0.598 0.116
O2 O 0.137 0.162 0.760
O3 O 0.147 0.179 0.073
O4 O 0.160 0.324 0.434
O5 O 0.187 0.528 0.738
O6 O 0.223 0.840 0.095
O7 O 0.232 0.963 0.575
O8 O 0.339 0.902 0.270
O9 O 0.362 0.531 0.419
O10 O 0.462 0.461 0.121
O11 O 0.484 0.964 0.935
O12 O 0.485 0.605 0.580
O13 O 0.517 0.269 0.645
O14 O 0.532 0.107 0.259
O15 O 0.583 0.269 0.927
O16 O 0.592 0.863 0.572
O17 O 0.737 0.711 0.273
O18 O 0.805 0.224 0.075
O19 O 0.816 0.561 0.727
O20 O 0.821 0.893 0.653
O21 O 0.858 0.540 0.058
O22 O 0.883 0.873 0.945
O23 O 0.894 0.197 0.638
O24 O 0.952 0.752 0.413
```

Top 6 peaks for 10° ≤ 2θ ≤ 90°, most intense first:
two_theta, I (rel.), h k l
19.6, 100, 1 0 -1
24.0, 96, 1 2 0
31.5, 78, -1 1 2
21.0, 77, 2 1 1
14.3, 75, 0 1 1
28.9, 61, 0 2 2